(1)
# DySi3Pd5
Computed powder diffraction line list, Cu Kα, 1.54184 Å. Input: a crystal structure in Alexandria, relaxed with PBE.
Neutral-atom scattering factors, no anomalous dispersion.

Atomic structure:
Cell lengths 3.868, 12.543, 12.648 Å; angles 90.00, 90.00, 90.00 degrees
Space group Cmcm (No. 63)
One atom of each set of equivalent atoms:
Dy1 0.000 0.144 0.250
Si1 0.000 0.119 0.750
Si2 0.000 0.385 0.541
Pd1 0.000 0.000 0.000
Pd2 0.000 0.206 0.577
Pd3 0.000 0.449 0.146

Peak list (10 most intense, 2θ = 5–70°, sorted by position)
Position (°2θ)  intensity
25.46  55.8
31.51  50.5
31.85  37.8
32.21  100.0
32.32  57.7
34.63  49.1
37.43  88.3
45.40  78.8
46.99  53.9
54.19  40.4


(2)
# Dy3Si3Pd2
Computed powder diffraction line list, Cu Kα, 1.54184 Å. Input: a crystal structure in Alexandria, relaxed with PBE.
Neutral-atom scattering factors, no anomalous dispersion.

Atomic structure:
Cell lengths 4.259, 10.449, 14.128 Å; angles 90.00, 90.00, 90.00 degrees
Space group Cmcm (No. 63)
One atom of each set of equivalent atoms:
Dy1 0.000 0.086 0.111
Dy2 0.000 0.364 0.250
Si1 0.000 0.340 0.750
Si2 0.000 0.395 0.039
Pd1 0.000 0.206 0.594

Peak list (10 most intense, 2θ = 5–70°, sorted by position)
Position (°2θ)  intensity
25.46  26.9
25.87  23.1
33.85  75.4
34.08  100.0
38.22  27.1
38.47  49.7
39.45  24.2
42.16  28.5
42.45  41.8
56.98  36.1


(3)
# Dy3Si2Pd6
Computed powder diffraction line list, Cu Kα, 1.54184 Å. Input: a crystal structure in Alexandria, relaxed with PBE.
Neutral-atom scattering factors, no anomalous dispersion.

Atomic structure:
Cell lengths 9.361, 9.361, 9.361 Å; angles 90.00, 90.00, 90.00 degrees
Space group Im-3m (No. 229)
One atom of each set of equivalent atoms:
Dy1 0.000 0.000 0.287
Si1 0.250 0.250 0.250
Pd1 0.000 0.323 0.323

Peak list (10 most intense, 2θ = 5–70°, sorted by position)
Position (°2θ)  intensity
26.94  18.9
30.19  27.6
33.15  7.0
35.90  33.1
38.47  19.5
40.90  100.0
57.40  11.6
59.23  12.2
61.02  20.3
66.23  13.3


(4)
# Dy2Si3Pd5
Computed powder diffraction line list, Cu Kα, 1.54184 Å. Input: a crystal structure in Alexandria, relaxed with PBE.
Neutral-atom scattering factors, no anomalous dispersion.

Atomic structure:
Cell lengths 4.226, 24.090, 6.704 Å; angles 90.00, 90.00, 90.00 degrees
Space group Cmc2_1 (No. 36)
One atom of each set of equivalent atoms:
Dy1 0.000 0.024 0.000
Dy2 0.000 0.326 0.033
Si1 0.000 0.120 0.243
Si2 0.000 0.273 0.580
Si3 0.000 0.450 0.209
Pd1 0.000 0.094 0.608
Pd2 0.000 0.200 0.859
Pd3 0.000 0.222 0.274
Pd4 0.000 0.374 0.503
Pd5 0.000 0.446 0.835

Peak list (10 most intense, 2θ = 5–70°, sorted by position)
Position (°2θ)  intensity
34.87  16.8
35.98  100.0
36.23  99.1
39.06  26.3
39.76  34.6
39.87  26.4
42.80  47.8
43.18  21.0
59.83  23.3
69.56  17.0


(5)
# Dy3Si4Pd7
Computed powder diffraction line list, Cu Kα, 1.54184 Å. Input: a crystal structure in Alexandria, relaxed with PBE.
Neutral-atom scattering factors, no anomalous dispersion.

Atomic structure:
Cell lengths 15.546, 4.039, 9.429 Å; angles 90.00, 125.28, 90.00 degrees
Space group C2/m (No. 12)
One atom of each set of equivalent atoms:
Dy1 0.000 0.000 0.000
Dy2 0.175 0.500 0.673
Si1 0.110 0.000 0.827
Si2 0.165 0.500 0.270
Pd1 0.000 0.000 0.500
Pd2 0.008 0.500 0.276
Pd3 0.170 0.000 0.423
Pd4 0.194 0.500 0.036

Peak list (10 most intense, 2θ = 5–70°, sorted by position)
Position (°2θ)  intensity
30.14  19.8
35.77  100.0
36.22  49.0
36.59  69.7
38.20  27.1
39.38  19.5
42.75  35.4
44.89  48.7
63.72  21.6
68.52  19.9


(6)
# DyZnSi2Pd
Computed powder diffraction line list, Cu Kα, 1.54184 Å. Input: a crystal structure in Alexandria, relaxed with PBE.
Neutral-atom scattering factors, no anomalous dispersion.

Atomic structure:
Cell lengths 4.037, 4.037, 10.433 Å; angles 90.00, 90.00, 90.00 degrees
Space group I-4m2 (No. 119)
One atom of each set of equivalent atoms:
Dy1 0.000 0.000 0.000
Zn1 0.000 0.500 0.750
Si1 0.000 0.000 0.389
Pd1 0.000 0.500 0.250

Peak list (10 most intense, 2θ = 5–70°, sorted by position)
Position (°2θ)  intensity
23.63  34.2
34.03  34.9
34.38  18.7
35.86  100.0
44.91  33.9
49.15  15.5
57.52  15.4
57.76  16.7
62.55  15.5
68.76  11.4